Entry 1:
This entry pairs a crystal structure of Sm2Mg12Cd5 with its computed powder diffractogram. Radiation: a wavelength of 1.5418 Å. Structure: a cell relaxed with PBE.

Structural model:
```
data_Sm2Mg12Cd5
_chemical_formula_sum 'Sm6 Mg36 Cd15'
_space_group_name_H-M_alt 'R -3 m'
_space_group_IT_number 166
_space_group_name_Hall '-R 3 2"'
_cell_length_a 10.1252
_cell_length_b 10.1252
_cell_length_c 15.0091
_cell_angle_alpha 90.00
_cell_angle_beta 90.00
_cell_angle_gamma 120.00
loop_
_atom_site_label
_atom_site_fract_x
_atom_site_fract_y
_atom_site_fract_z
Sm1 0.0000 0.0000 0.1713
Mg1 0.0000 0.3031 0.5000
Mg2 0.0062 0.5031 0.6523
Cd1 0.0000 0.0000 0.4022
Cd2 0.0000 0.5000 0.0000
```

Main lines, by intensity (2θ from 10° to 90°):
(2 2 0), d 2.531, rel. 100
(0 3 3), d 2.524, rel. 63
(2 0 5), d 2.477, rel. 62
(1 1 3), d 3.559, rel. 57
(1 1 0), d 5.063, rel. 50
(3 0 0), d 2.923, rel. 41
(1 0 1), d 7.571, rel. 33
(2 1 4), d 2.484, rel. 32
(1 0 4), d 3.450, rel. 31
(0 4 5), d 1.771, rel. 29
(4 2 5), d 1.451, rel. 28
(6 0 0), d 1.461, rel. 24

Entry 2:
This entry pairs a crystal structure of Sm2MgCd16 with its computed powder diffractogram. Radiation: a wavelength of 1.5418 Å. Structure: a cell relaxed with PBE.

Structural model:
```
data_Sm2MgCd16
_chemical_formula_sum 'Sm6 Mg3 Cd48'
_space_group_name_H-M_alt 'R 3 m'
_space_group_IT_number 160
_space_group_name_Hall 'R 3 -2"'
_cell_length_a 10.0562
_cell_length_b 10.0562
_cell_length_c 15.0054
_cell_angle_alpha 90.00
_cell_angle_beta 90.00
_cell_angle_gamma 120.00
loop_
_atom_site_label
_atom_site_fract_x
_atom_site_fract_y
_atom_site_fract_z
Sm1 0.0000 0.0000 0.0000
Sm2 0.0000 0.0000 0.3362
Mg1 0.0000 0.0000 0.5747
Cd1 0.0000 0.0000 0.7762
Cd2 0.0010 0.2993 0.6677
Cd3 0.0115 0.5058 0.1659
Cd4 0.0190 0.5095 0.8146
Cd5 0.1709 0.3418 0.8556
```

Main lines, by intensity (2θ from 10° to 90°):
(0 3 3), d 2.512, rel. 100
(2 2 3), d 2.246, rel. 36
(0 0 6), d 2.501, rel. 24
(2 0 5), d 2.472, rel. 22
(3 0 0), d 2.903, rel. 17
(0 2 4), d 2.842, rel. 15
(6 0 0), d 1.451, rel. 13
(0 3 9), d 1.446, rel. 13
(3 3 3), d 1.589, rel. 10
(1 2 2), d 3.014, rel. 10
(0 6 6), d 1.255, rel. 9
(2 2 6), d 1.773, rel. 9

Entry 3:
This entry pairs a crystal structure of Sm12Mg2Cd5 with its computed powder diffractogram. Radiation: a wavelength of 1.5418 Å. Structure: a cell relaxed with PBE.

Structural model:
```
data_Sm12Mg2Cd5
_chemical_formula_sum 'Sm24 Mg4 Cd10'
_space_group_name_H-M_alt 'C 1 2/m 1'
_space_group_IT_number 12
_cell_length_a 12.782
_cell_length_b 10.708
_cell_length_c 8.478
_cell_angle_alpha 90.00
_cell_angle_beta 103.28
_cell_angle_gamma 90.00
loop_
_space_group_symop_operation_xyz
'x,y,z'
'-x,-y,-z'
'-x,y,-z'
'x,-y,z'
'x+1/2,y+1/2,z'
'-x+1/2,-y+1/2,-z'
'-x+1/2,y+1/2,-z'
'x+1/2,-y+1/2,z'
loop_
_atom_site_label
_atom_site_fract_x
_atom_site_fract_y
_atom_site_fract_z
Sm1 0.081 0.000 0.214
Sm2 0.107 0.239 0.893
Sm3 0.136 0.500 0.631
Sm4 0.179 0.307 0.304
Mg1 0.000 0.224 0.500
Cd1 0.000 0.500 0.000
Cd2 0.129 0.000 0.607
Cd3 0.241 0.500 0.020
```

Main lines, by intensity (2θ from 10° to 90°):
(4 2 -1), d 2.722, rel. 100
(2 2 2), d 2.698, rel. 83
(2 0 -3), d 2.761, rel. 44
(0 4 0), d 2.677, rel. 35
(2 2 -2), d 3.138, rel. 23
(1 3 1), d 3.099, rel. 22
(3 1 1), d 3.243, rel. 19
(2 4 -3), d 1.922, rel. 18
(0 2 5), d 1.577, rel. 17
(6 4 1), d 1.554, rel. 13
(4 0 0), d 3.110, rel. 13
(6 2 2), d 1.622, rel. 11

Entry 4:
This entry pairs a crystal structure of SmMgCdSn with its computed powder diffractogram. Radiation: a wavelength of 1.5418 Å. Structure: a cell relaxed with PBE.

Structural model:
```
data_SmMgCdSn
_chemical_formula_sum 'Sm1 Mg1 Cd1 Sn1'
_space_group_name_H-M_alt 'P m m m'
_space_group_IT_number 47
_cell_length_a 4.460
_cell_length_b 4.594
_cell_length_c 4.855
_cell_angle_alpha 90.00
_cell_angle_beta 90.00
_cell_angle_gamma 90.00
loop_
_space_group_symop_operation_xyz
'x,y,z'
'-x,-y,-z'
'-x,-y,z'
'x,y,-z'
'x,-y,-z'
'-x,y,z'
'-x,y,-z'
'x,-y,z'
loop_
_atom_site_label
_atom_site_fract_x
_atom_site_fract_y
_atom_site_fract_z
Sm1 0.000 0.000 0.000
Mg1 0.000 0.500 0.500
Cd1 0.500 0.000 0.500
Sn1 0.500 0.500 0.000
```

Main lines, by intensity (2θ from 10° to 90°):
(1 1 1), d 2.672, rel. 100
(0 0 2), d 2.427, rel. 19
(0 2 0), d 2.297, rel. 16
(2 0 0), d 2.230, rel. 15
(1 1 3), d 1.444, rel. 15
(1 3 1), d 1.388, rel. 13
(3 1 1), d 1.358, rel. 12
(0 2 2), d 1.668, rel. 12
(2 2 2), d 1.336, rel. 12
(2 0 2), d 1.642, rel. 11
(0 0 1), d 4.855, rel. 11
(2 2 0), d 1.600, rel. 11

Entry 5:
This entry pairs a crystal structure of Mg5Cd2Sn2 with its computed powder diffractogram. Radiation: a wavelength of 1.5418 Å. Structure: a cell relaxed with PBE.

Structural model:
```
data_Mg5Cd2Sn2
_chemical_formula_sum 'Mg10 Cd4 Sn4'
_space_group_name_H-M_alt 'A m m 2'
_space_group_IT_number 38
_cell_length_a 9.190
_cell_length_b 4.862
_cell_length_c 9.510
_cell_angle_alpha 90.00
_cell_angle_beta 90.00
_cell_angle_gamma 90.00
loop_
_space_group_symop_operation_xyz
'x,y,z'
'-x,-y,z'
'-x,y,z'
'x,-y,z'
'x,y+1/2,z+1/2'
'-x,-y+1/2,z+1/2'
'-x,y+1/2,z+1/2'
'x,-y+1/2,z+1/2'
loop_
_atom_site_label
_atom_site_fract_x
_atom_site_fract_y
_atom_site_fract_z
Mg1 0.000 0.000 0.000
Mg2 0.171 0.000 0.317
Mg3 0.325 0.000 0.620
Cd1 0.329 0.000 0.943
Sn1 0.000 0.000 0.683
Sn2 0.500 0.000 0.253
```

Main lines, by intensity (2θ from 10° to 90°):
(3 1 1), d 2.501, rel. 100
(0 1 3), d 2.656, rel. 74
(1 1 1), d 3.916, rel. 64
(2 0 2), d 3.304, rel. 51
(0 2 0), d 2.431, rel. 45
(1 1 3), d 2.551, rel. 44
(2 2 2), d 1.958, rel. 24
(3 0 2), d 2.575, rel. 23
(0 1 1), d 4.329, rel. 23
(3 0 4), d 1.878, rel. 20
(3 2 4), d 1.486, rel. 18
(6 1 3), d 1.327, rel. 18

Entry 6:
This entry pairs a crystal structure of Mg4Cd7Sn with its computed powder diffractogram. Radiation: a wavelength of 1.5418 Å. Structure: a cell relaxed with PBE.

Structural model:
```
data_Mg4Cd7Sn
_chemical_formula_sum 'Mg4 Cd7 Sn1'
_space_group_name_H-M_alt 'P -1'
_space_group_IT_number 2
_cell_length_a 6.156
_cell_length_b 7.152
_cell_length_c 7.197
_cell_angle_alpha 71.49
_cell_angle_beta 74.73
_cell_angle_gamma 65.63
loop_
_space_group_symop_operation_xyz
'x,y,z'
'-x,-y,-z'
loop_
_atom_site_label
_atom_site_fract_x
_atom_site_fract_y
_atom_site_fract_z
Mg1 0.092 0.173 0.334
Mg2 0.337 0.661 0.326
Cd1 0.000 0.000 0.000
Cd2 0.160 0.342 0.665
Cd3 0.249 0.506 0.997
Cd4 0.403 0.831 0.650
Sn1 0.500 0.000 0.000
```

Main lines, by intensity (2θ from 10° to 90°):
(0 2 2), d 2.642, rel. 100
(0 2 -1), d 2.634, rel. 99
(2 1 2), d 2.607, rel. 93
(2 1 -1), d 2.471, rel. 88
(2 -1 0), d 2.257, rel. 66
(0 0 3), d 2.248, rel. 65
(2 3 1), d 2.214, rel. 58
(2 1 -4), d 1.317, rel. 31
(1 0 1), d 4.645, rel. 24
(0 0 1), d 6.744, rel. 23
(-2 3 2), d 1.372, rel. 23
(1 1 1), d 5.021, rel. 23

What did the fourth record say?
This entry pairs a crystal structure of SmMgCdSn with its computed powder diffractogram. Radiation: a wavelength of 1.5418 Å. Structure: a cell relaxed with PBE.

Structural model:
```
data_SmMgCdSn
_chemical_formula_sum 'Sm1 Mg1 Cd1 Sn1'
_space_group_name_H-M_alt 'P m m m'
_space_group_IT_number 47
_cell_length_a 4.460
_cell_length_b 4.594
_cell_length_c 4.855
_cell_angle_alpha 90.00
_cell_angle_beta 90.00
_cell_angle_gamma 90.00
loop_
_space_group_symop_operation_xyz
'x,y,z'
'-x,-y,-z'
'-x,-y,z'
'x,y,-z'
'x,-y,-z'
'-x,y,z'
'-x,y,-z'
'x,-y,z'
loop_
_atom_site_label
_atom_site_fract_x
_atom_site_fract_y
_atom_site_fract_z
Sm1 0.000 0.000 0.000
Mg1 0.000 0.500 0.500
Cd1 0.500 0.000 0.500
Sn1 0.500 0.500 0.000
```

Main lines, by intensity (2θ from 10° to 90°):
(1 1 1), d 2.672, rel. 100
(0 0 2), d 2.427, rel. 19
(0 2 0), d 2.297, rel. 16
(2 0 0), d 2.230, rel. 15
(1 1 3), d 1.444, rel. 15
(1 3 1), d 1.388, rel. 13
(3 1 1), d 1.358, rel. 12
(0 2 2), d 1.668, rel. 12
(2 2 2), d 1.336, rel. 12
(2 0 2), d 1.642, rel. 11
(0 0 1), d 4.855, rel. 11
(2 2 0), d 1.600, rel. 11